1.
Diffraction record for CaSb3P3O13. The PXRD pattern is computed, not measured: it uses DFT lattice parameters and positions (PBE) and Cu Kα, 1.54184 Å.

The 6 most intense peaks (10 to 90 degrees two-theta), by angle:
2θ/deg	I (rel.)
17.63	100
25.21	38
25.55	42
28.99	47
34.06	33
35.65	30

Structural model:
```
CaSb3P3O13
1.0
8.205 0.000 0.000
0.000 6.978 0.000
-2.346 0.000 10.921
Ca Sb P O
2 6 6 26
direct
0.126 0.250 0.178
0.874 0.750 0.822
0.149 0.250 0.769
0.261 0.750 0.439
0.500 0.000 0.000
0.500 0.500 0.000
0.739 0.250 0.561
0.851 0.750 0.231
0.185 0.750 0.106
0.239 0.750 0.763
0.308 0.250 0.487
0.692 0.750 0.513
0.761 0.250 0.237
0.815 0.250 0.894
0.005 0.750 0.031
0.125 0.577 0.780
0.125 0.923 0.780
0.177 0.750 0.245
0.198 0.250 0.584
0.271 0.074 0.399
0.271 0.426 0.399
0.275 0.559 0.086
0.275 0.941 0.086
0.306 0.750 0.647
0.370 0.250 0.888
0.400 0.750 0.870
0.493 0.250 0.561
0.507 0.750 0.439
0.600 0.250 0.130
0.630 0.750 0.112
0.694 0.250 0.353
0.725 0.059 0.914
0.725 0.441 0.914
0.729 0.574 0.601
0.729 0.926 0.601
0.802 0.750 0.416
0.823 0.250 0.755
0.875 0.077 0.220
0.875 0.423 0.220
0.995 0.250 0.969
```

---

2.
Diffraction record for Ca10P6SeO24. The PXRD pattern is computed, not measured: it uses DFT lattice parameters and positions (PBE) and Cu Kα, 1.54184 Å.

The 6 most intense peaks (10 to 90 degrees two-theta), by angle:
2θ/deg	I (rel.)
31.27	100
31.95	89
32.29	66
39.04	19
46.06	39
49.09	30

Structural model:
```
Ca10P6SeO24
1.0
9.605 0.000 0.000
-4.802 8.318 0.000
0.000 0.000 6.897
Ca P Se O
10 6 1 24
direct
0.011 0.262 0.250
0.251 0.989 0.250
0.262 0.251 0.750
0.333 0.667 0.020
0.333 0.667 0.511
0.667 0.333 0.489
0.667 0.333 0.980
0.738 0.749 0.250
0.749 0.011 0.750
0.989 0.738 0.750
0.028 0.399 0.751
0.371 0.972 0.751
0.399 0.371 0.249
0.601 0.629 0.751
0.629 0.028 0.249
0.972 0.601 0.249
0.000 0.000 0.500
0.069 0.305 0.903
0.098 0.390 0.552
0.115 0.582 0.803
0.157 0.674 0.255
0.236 0.931 0.903
0.292 0.902 0.552
0.305 0.236 0.097
0.326 0.483 0.255
0.390 0.292 0.448
0.418 0.533 0.803
0.467 0.885 0.803
0.483 0.157 0.745
0.517 0.843 0.255
0.533 0.115 0.197
0.582 0.467 0.197
0.610 0.708 0.552
0.674 0.517 0.745
0.695 0.764 0.903
0.708 0.098 0.448
0.764 0.069 0.097
0.843 0.326 0.745
0.885 0.418 0.197
0.902 0.610 0.448
0.931 0.695 0.097
```

---

3.
Diffraction record for CaSnP4O12. The PXRD pattern is computed, not measured: it uses DFT lattice parameters and positions (PBE) and Cu Kα, 1.54184 Å.

The 6 most intense peaks (10 to 90 degrees two-theta), by angle:
2θ/deg	I (rel.)
13.03	75
17.93	34
18.79	28
22.99	41
27.18	100
27.73	27

Structural model:
```
CaSnP4O12
1.0
6.490 -4.507 0.000
6.490 4.507 0.000
-5.703 0.000 9.567
Ca Sn P O
2 2 8 24
direct
0.024 0.976 0.750
0.976 0.024 0.250
0.000 0.500 0.500
0.500 0.000 0.000
0.260 0.714 0.014
0.286 0.740 0.486
0.307 0.319 0.813
0.319 0.307 0.313
0.681 0.693 0.687
0.693 0.681 0.187
0.714 0.260 0.514
0.740 0.286 0.986
0.116 0.816 0.087
0.146 0.273 0.320
0.184 0.884 0.413
0.205 0.733 0.585
0.223 0.355 0.677
0.235 0.497 0.935
0.267 0.795 0.915
0.273 0.146 0.820
0.310 0.533 0.367
0.355 0.223 0.177
0.467 0.690 0.133
0.497 0.235 0.435
0.503 0.765 0.565
0.533 0.310 0.867
0.645 0.777 0.823
0.690 0.467 0.633
0.727 0.854 0.180
0.733 0.205 0.085
0.765 0.503 0.065
0.777 0.645 0.323
0.795 0.267 0.415
0.816 0.116 0.587
0.854 0.727 0.680
0.884 0.184 0.913
```

---

4.
Diffraction record for CaSn3P4O14. The PXRD pattern is computed, not measured: it uses DFT lattice parameters and positions (PBE) and Cu Kα, 1.54184 Å.

The 6 most intense peaks (10 to 90 degrees two-theta), by angle:
2θ/deg	I (rel.)
18.49	77
21.38	65
26.53	72
27.18	100
28.35	79
29.01	98

Structural model:
```
CaSn3P4O14
1.0
8.345 0.000 0.000
0.000 8.314 0.000
-3.177 0.000 9.599
Ca Sn P O
2 6 8 28
direct
0.000 0.000 0.000
0.000 0.500 0.500
0.297 0.119 0.463
0.297 0.381 0.963
0.500 0.000 0.000
0.500 0.500 0.500
0.703 0.619 0.037
0.703 0.881 0.537
0.090 0.052 0.708
0.090 0.448 0.208
0.325 0.705 0.175
0.325 0.795 0.675
0.675 0.205 0.325
0.675 0.295 0.825
0.910 0.552 0.792
0.910 0.948 0.292
0.099 0.535 0.816
0.099 0.965 0.316
0.139 0.177 0.615
0.139 0.323 0.115
0.143 0.625 0.166
0.143 0.875 0.666
0.179 0.074 0.866
0.179 0.426 0.366
0.275 0.634 0.599
0.275 0.866 0.099
0.404 0.585 0.096
0.404 0.915 0.596
0.433 0.717 0.327
0.433 0.783 0.827
0.567 0.217 0.173
0.567 0.283 0.673
0.596 0.085 0.404
0.596 0.415 0.904
0.725 0.134 0.901
0.725 0.366 0.401
0.821 0.574 0.634
0.821 0.926 0.134
0.857 0.125 0.334
0.857 0.375 0.834
0.861 0.677 0.885
0.861 0.823 0.385
0.901 0.035 0.684
0.901 0.465 0.184
```